Diffraction record for Zr4Al16Ni3. The powder diffractogram is theoretical, not measured: it uses DFT lattice parameters and positions (GGA-PBE) and Cu Ka.
Kinematic intensities with the Lorentz-polarization factor, no thermal factor.

```
Zr4Al16Ni3
1.0
5.908 0.000 0.000
0.000 5.908 0.000
0.000 0.000 10.876
Zr Al Ni
4 16 3
Direct
0.000 0.500 0.188 Zr
0.000 0.500 0.812 Zr
0.500 0.000 0.188 Zr
0.500 0.000 0.812 Zr
0.000 0.000 0.197 Al
0.000 0.000 0.803 Al
0.223 0.223 0.000 Al
0.223 0.777 0.000 Al
0.246 0.246 0.378 Al
0.246 0.246 0.622 Al
0.246 0.754 0.378 Al
0.246 0.754 0.622 Al
0.500 0.500 0.216 Al
0.500 0.500 0.784 Al
0.754 0.246 0.378 Al
0.754 0.246 0.622 Al
0.754 0.754 0.378 Al
0.754 0.754 0.622 Al
0.777 0.223 0.000 Al
0.777 0.777 0.000 Al
0.000 0.500 0.500 Ni
0.500 0.000 0.500 Ni
0.500 0.500 0.000 Ni
```

Main lines, by angle (2θ = 10–80°):
- hkl 1 1 0, 21.3 deg, I 502
- hkl 2 0 0, 30.3 deg, I 250
- hkl 1 1 3, 32.7 deg, I 679
- hkl 2 0 2, 34.6 deg, I 203
- hkl 2 0 3, 39.3 deg, I 1000
- hkl 2 2 0, 43.3 deg, I 693
- hkl 3 1 3, 55.3 deg, I 336
- hkl 2 2 5, 61.6 deg, I 206
- hkl 4 0 0, 62.9 deg, I 215
- hkl 4 2 3, 76.8 deg, I 248